# 1
Starting from the GGA-PBE geometry in the Materials Project, the powder XRD pattern of SnH16Cl4O8 was calculated for Cu Kα (weighted mean of Kα1 and Kα2).
Peak positions follow from Bragg's law for the DFT cell and can differ from measured ones.

Top 10 peaks for 2θ from 15° to 90°, sorted by position:
- 15.9°, rel. 41, hkl 0 0 2
- 16.7°, rel. 67, hkl 1 1 1
- 17.9°, rel. 48, hkl 1 1 -2
- 20.1°, rel. 36, hkl 3 1 -1
- 25.6°, rel. 32, hkl 4 0 0
- 26.7°, rel. 34, hkl 3 1 1
- 30.3°, rel. 42, hkl 3 1 -4
- 30.8°, rel. 100, hkl 2 2 -3
- 38.7°, rel. 57, hkl 6 0 0
- 44.7°, rel. 31, hkl 3 3 -4

Atomic structure:
Cell: 16.0568 7.9027 12.8227 Å, 90.00 119.73 90.00°
Space group C2/c (No. 15)
One atom of each set of equivalent atoms:
Sn (0.0000, 0.1367, 0.2500) (multiplicity 4)
H (0.0384, 0.1615, 0.8811) (multiplicity 8)
H (0.0696, 0.0871, 0.6413) (multiplicity 8)
H (0.0803, 0.4202, 0.9119) (multiplicity 8)
H (0.1552, 0.3182, 0.8877) (multiplicity 8)
H (0.1589, 0.1662, 0.5750) (multiplicity 8)
H (0.2018, 0.1927, 0.7173) (multiplicity 8)
H (0.2048, 0.2508, 0.0861) (multiplicity 8)
H (0.2291, 0.0821, 0.1603) (multiplicity 8)
Cl (0.0129, 0.3485, 0.1175) (multiplicity 8)
Cl (0.1722, 0.1096, 0.3785) (multiplicity 8)
O (0.0062, 0.0597, 0.6391) (multiplicity 8)
O (0.1140, 0.3112, 0.9259) (multiplicity 8)
O (0.1670, 0.1118, 0.6479) (multiplicity 8)
O (0.2427, 0.3074, 0.8437) (multiplicity 8)

# 2
Starting from the GGA-PBE geometry in the Materials Project, the powder XRD pattern of SnH6Cl4O3 was calculated for Cu Kα (weighted mean of Kα1 and Kα2).
Peak positions follow from Bragg's law for the DFT cell and can differ from measured ones.

Top 10 peaks for 2θ from 15° to 90°, sorted by position:
- 15.5°, rel. 87, hkl 0 2 0
- 15.6°, rel. 93, hkl 1 1 0
- 16.6°, rel. 100, hkl 0 1 2
- 19.9°, rel. 35, hkl 1 0 -2
- 20.7°, rel. 31, hkl 1 2 0
- 21.6°, rel. 41, hkl 1 1 2
- 25.3°, rel. 32, hkl 1 2 -2
- 31.0°, rel. 47, hkl 1 3 2
- 35.1°, rel. 30, hkl 2 2 2
- 36.2°, rel. 32, hkl 2 3 0

Atomic structure:
Cell: 6.5268 11.4290 12.1065 Å, 90.00 90.62 90.00°
Space group P2_1/c (No. 14)
One atom of each set of equivalent atoms:
Sn (0.1359, 0.2344, 0.3357) (multiplicity 4)
H (0.0716, 0.0628, 0.7076) (multiplicity 4)
H (0.0741, 0.1437, 0.0281) (multiplicity 4)
H (0.1150, 0.6517, 0.8281) (multiplicity 4)
H (0.1377, 0.7110, 0.4912) (multiplicity 4)
H (0.3832, 0.6555, 0.9566) (multiplicity 4)
H (0.3919, 0.7486, 0.3645) (multiplicity 4)
Cl (0.1868, 0.6306, 0.1862) (multiplicity 4)
Cl (0.2672, 0.0950, 0.4700) (multiplicity 4)
Cl (0.2870, 0.1374, 0.1756) (multiplicity 4)
Cl (0.4017, 0.1247, 0.8588) (multiplicity 4)
O (0.0080, 0.6324, 0.7706) (multiplicity 4)
O (0.0236, 0.6689, 0.5302) (multiplicity 4)
O (0.2965, 0.7072, 0.9111) (multiplicity 4)

# 3
Starting from the GGA-PBE geometry in the Materials Project, the powder XRD pattern of SnH4Cl2O2 was calculated for Cu Kα (weighted mean of Kα1 and Kα2).
Peak positions follow from Bragg's law for the DFT cell and can differ from measured ones.

Top 10 peaks for 2θ from 15° to 90°, sorted by position:
- 16.2°, rel. 100, hkl 1 1 0
- 21.7°, rel. 23, hkl 0 0 2
- 23.4°, rel. 67, hkl 1 1 -2
- 24.4°, rel. 73, hkl 2 1 0
- 26.3°, rel. 58, hkl 2 1 -2
- 31.8°, rel. 33, hkl 3 0 0
- 33.0°, rel. 71, hkl 0 2 2
- 34.2°, rel. 42, hkl 2 2 -2
- 39.4°, rel. 28, hkl 3 2 -2
- 47.8°, rel. 22, hkl 3 1 2

Atomic structure:
Cell: 9.2493 7.2235 8.9985 Å, 90.00 114.21 90.00°
Space group P2_1/c (No. 14)
One atom of each set of equivalent atoms:
Sn (0.1201, 0.2448, 0.4654) (multiplicity 4)
H (0.3436, 0.7087, 0.0380) (multiplicity 4)
H (0.3984, 0.0302, 0.0944) (multiplicity 4)
H (0.4503, 0.2007, 0.0148) (multiplicity 4)
H (0.4905, 0.7487, 0.2052) (multiplicity 4)
Cl (0.1924, 0.5020, 0.1963) (multiplicity 4)
Cl (0.2172, 0.0084, 0.3156) (multiplicity 4)
O (0.3935, 0.1692, 0.0862) (multiplicity 4)
O (0.4323, 0.7043, 0.5923) (multiplicity 4)

Number 1 is which compound? SnH16Cl4O8